HoTl: calculated X-ray diffraction stick pattern (a wavelength of 1.5418 Å), based on a DFT-relaxed cell (PBE, the Materials Project).
Neutral-atom scattering factors, no anomalous dispersion.

Principal peaks in the range 2θ from 10° to 80°, most intense first:
2theta, I_rel
33.4, 100
59.8, 38
48.0, 18
70.3, 12
23.5, 1
54.1, 1

Structure:
Cell lengths 3.7886, 3.7886, 3.7886 Å; angles 90.00, 90.00, 90.00 degrees
Element x y z (fractional)
Ho: 0.0000 0.0000 0.0000
Tl: 0.5000 0.5000 0.5000